# 1
Computed PXRD pattern
Compound: Pu2Hg2I5
Radiation: Cu Kα (weighted mean of Kα1 and Kα2)
Structure: a crystal structure in Alexandria, relaxed with PBE
No peak broadening, texture or thermal motion is included.

Crystal structure
Cell lengths 11.3599, 9.6092, 8.5518 Å; angles 77.20, 55.57, 47.23 degrees
Positions (direct):
Pu 0.2052 0.7948 0.2052
Pu 0.7948 0.2052 0.7948
Hg 0.2594 0.2594 0.7406
Hg 0.7406 0.7406 0.2594
I 0.0000 0.0000 0.0000
I 0.1245 0.1245 0.3755
I 0.3755 0.3755 0.1245
I 0.6245 0.6245 0.8755
I 0.8755 0.8755 0.6245

Principal peaks in the range 10° ≤ 2θ ≤ 90°, low angle first:
2θ (°)  I_rel
13.0  33
15.8  87
23.9  30
24.0  88
26.2  53
29.5  100
35.7  30
38.4  67
42.2  40
49.3  33


# 2
Computed PXRD pattern
Compound: SrH
Radiation: Cu Kα (weighted mean of Kα1 and Kα2)
Structure: a crystal structure in Alexandria, relaxed with PBE
No peak broadening, texture or thermal motion is included.

Crystal structure
Cell lengths 4.1178, 4.1178, 4.1178 Å; angles 60.00, 60.00, 60.00 degrees
Positions (direct):
Sr 0.0000 0.0000 0.0000
H 0.2500 0.2500 0.2500

Principal peaks in the range 10° ≤ 2θ ≤ 90°, low angle first:
2θ (°)  I_rel
26.5  100
30.7  50
44.0  39
52.1  46
54.6  13
63.9  6
70.5  18
72.6  17
80.9  13
86.9  14